Calculated X-ray powder pattern
Compound: Pa2Al3Zn5
Radiation: λ = 1.5418 Å (Cu Kα)
Structure: a crystal structure in Alexandria, relaxed with GGA-PBE
Peak positions follow from Bragg's law for the DFT cell and can differ from measured ones.

Largest 10 diffraction maxima, sorted by position, 2θ from 10° to 90°:
Position (°2θ)  I/Imax
16.9  14.8
22.9  48.5
30.2  23.1
33.5  65.7
34.8  100.0
43.3  41.5
48.7  29.8
55.8  31.2
67.1  22.8
73.9  22.0

Unit cell a=10.462 b=11.837 c=5.911 alpha=90.00 beta=90.00 gamma=90.00
Space group Ibam (No. 72)
One atom of each set of equivalent atoms:
1 Pa 0.246 0.124 0.000 (multiplicity 8)
2 Al 0.000 0.500 0.250 (multiplicity 4)
3 Al 0.132 0.129 0.500 (multiplicity 8)
4 Zn 0.000 0.000 0.250 (multiplicity 4)
5 Zn 0.000 0.259 0.250 (multiplicity 8)
6 Zn 0.139 0.376 0.000 (multiplicity 8)